No. 1
Diffraction record for Mg2TlSn2. The powder diffraction line list is theoretical, not measured: it uses a crystal structure in Alexandria, relaxed with GGA-PBE and a wavelength of 1.5418 Å.
Intensities are scaled so that the largest is 100.

Largest 6 diffraction maxima, in order of falling intensity, 2θ = 5–70°:
| Position (°2θ) | I/Imax |
| --- | --- |
| 37.2 | 100.0 |
| 23.9 | 96.5 |
| 28.1 | 37.2 |
| 32.6 | 34.3 |
| 34.9 | 34.2 |
| 10.9 | 26.8 |

Cell lengths 8.512, 8.512, 3.175 Å; angles 90.00, 90.00, 144.83 degrees
Element x y z (fractional)
Mg (0.187, 0.813, 0.000)
Mg (0.813, 0.187, 0.000)
Tl (0.000, 0.000, 0.500)
Sn (0.360, 0.640, 0.500)
Sn (0.640, 0.360, 0.500)


No. 2
Diffraction record for NaCd2TeS4. The powder diffraction line list is theoretical, not measured: it uses a crystal structure in Alexandria, relaxed with GGA-PBE and a wavelength of 1.5418 Å.
Intensities are scaled so that the largest is 100.

Largest 6 diffraction maxima, in order of falling intensity, 2θ = 5–70°:
| Position (°2θ) | I/Imax |
| --- | --- |
| 30.0 | 100.0 |
| 31.9 | 94.8 |
| 33.1 | 87.1 |
| 26.8 | 71.5 |
| 27.9 | 69.1 |
| 44.4 | 63.9 |

Cell lengths 7.806, 7.806, 7.807 Å; angles 116.77, 116.77, 91.82 degrees
Element x y z (fractional)
Na (0.000, 0.500, 0.000)
Na (0.500, 0.000, 0.500)
Cd (0.000, 0.000, 0.000)
Cd (0.000, 0.000, 0.500)
Cd (0.000, 0.500, 0.500)
Cd (0.500, 0.000, 0.000)
Te (0.500, 0.500, 0.000)
Te (0.500, 0.500, 0.500)
S (0.214, 0.222, 0.420)
S (0.222, 0.214, 0.920)
S (0.263, 0.732, 0.980)
S (0.268, 0.737, 0.520)
S (0.732, 0.263, 0.480)
S (0.737, 0.268, 0.020)
S (0.778, 0.786, 0.080)
S (0.786, 0.778, 0.580)


No. 3
Diffraction record for Sm3ErTm8. The powder diffraction line list is theoretical, not measured: it uses a crystal structure in Alexandria, relaxed with GGA-PBE and a wavelength of 1.5418 Å.
Intensities are scaled so that the largest is 100.

Largest 6 diffraction maxima, in order of falling intensity, 2θ = 5–70°:
| Position (°2θ) | I/Imax |
| --- | --- |
| 32.1 | 100.0 |
| 32.3 | 68.4 |
| 31.7 | 52.2 |
| 36.1 | 41.2 |
| 67.0 | 24.7 |
| 52.2 | 22.3 |

Cell lengths 8.555, 8.555, 8.555 Å; angles 136.26, 98.58, 97.37 degrees
Element x y z (fractional)
Sm (0.000, 0.000, 0.000)
Sm (0.253, 0.753, 0.500)
Sm (0.747, 0.247, 0.500)
Er (0.500, 0.500, 0.000)
Tm (0.082, 0.251, 0.831)
Tm (0.254, 0.248, 0.502)
Tm (0.254, 0.752, 0.006)
Tm (0.419, 0.251, 0.169)
Tm (0.581, 0.749, 0.831)
Tm (0.746, 0.248, 0.994)
Tm (0.746, 0.752, 0.498)
Tm (0.918, 0.749, 0.169)


No. 4
Diffraction record for LiErNb2N4. The powder diffraction line list is theoretical, not measured: it uses a crystal structure in Alexandria, relaxed with GGA-PBE and a wavelength of 1.5418 Å.
Intensities are scaled so that the largest is 100.

Largest 6 diffraction maxima, in order of falling intensity, 2θ = 5–70°:
| Position (°2θ) | I/Imax |
| --- | --- |
| 34.8 | 100.0 |
| 22.2 | 83.0 |
| 40.0 | 61.2 |
| 58.7 | 37.5 |
| 69.4 | 28.9 |
| 41.1 | 28.2 |

Cell lengths 5.423, 5.423, 5.423 Å; angles 130.92, 130.92, 71.94 degrees
Element x y z (fractional)
Li (0.000, 0.000, 0.000)
Er (0.500, 0.500, 0.000)
Nb (0.250, 0.750, 0.500)
Nb (0.750, 0.250, 0.500)
N (0.000, 0.500, 0.500)
N (0.242, 0.242, 0.000)
N (0.500, 0.000, 0.500)
N (0.758, 0.758, 0.000)


No. 5
Diffraction record for KDyIr2O8. The powder diffraction line list is theoretical, not measured: it uses a crystal structure in Alexandria, relaxed with GGA-PBE and a wavelength of 1.5418 Å.
Intensities are scaled so that the largest is 100.

Largest 6 diffraction maxima, in order of falling intensity, 2θ = 5–70°:
| Position (°2θ) | I/Imax |
| --- | --- |
| 20.8 | 100.0 |
| 30.0 | 44.3 |
| 29.0 | 37.5 |
| 48.2 | 21.5 |
| 42.3 | 19.1 |
| 52.7 | 14.6 |

Cell lengths 5.950, 5.950, 7.665 Å; angles 90.00, 90.00, 120.00 degrees
Element x y z (fractional)
K (0.000, 0.000, 0.000)
Dy (0.000, 0.000, 0.500)
Ir (0.333, 0.667, 0.775)
Ir (0.667, 0.333, 0.225)
O (0.167, 0.336, 0.684)
O (0.169, 0.833, 0.684)
O (0.333, 0.667, 0.007)
O (0.336, 0.169, 0.316)
O (0.664, 0.831, 0.684)
O (0.667, 0.333, 0.993)
O (0.831, 0.167, 0.316)
O (0.833, 0.664, 0.316)


No. 6
Diffraction record for LaPb. The powder diffraction line list is theoretical, not measured: it uses a crystal structure in Alexandria, relaxed with GGA-PBE and a wavelength of 1.5418 Å.
Intensities are scaled so that the largest is 100.

Largest 6 diffraction maxima, in order of falling intensity, 2θ = 5–70°:
| Position (°2θ) | I/Imax |
| --- | --- |
| 31.0 | 100.0 |
| 35.1 | 81.7 |
| 27.8 | 54.0 |
| 29.0 | 36.8 |
| 39.3 | 34.5 |
| 59.3 | 28.8 |

Cell lengths 8.996, 4.585, 6.548 Å; angles 90.00, 90.00, 90.00 degrees
Element x y z (fractional)
La (0.186, 0.250, 0.125)
La (0.314, 0.750, 0.625)
La (0.686, 0.250, 0.375)
La (0.814, 0.750, 0.875)
Pb (0.040, 0.250, 0.661)
Pb (0.460, 0.750, 0.161)
Pb (0.540, 0.250, 0.839)
Pb (0.960, 0.750, 0.339)


No. 7
Diffraction record for Eu2SiCl2O3. The powder diffraction line list is theoretical, not measured: it uses a crystal structure in Alexandria, relaxed with GGA-PBE and a wavelength of 1.5418 Å.
Intensities are scaled so that the largest is 100.

Largest 6 diffraction maxima, in order of falling intensity, 2θ = 5–70°:
| Position (°2θ) | I/Imax |
| --- | --- |
| 31.3 | 100.0 |
| 18.4 | 45.3 |
| 25.1 | 37.9 |
| 35.8 | 27.4 |
| 51.1 | 24.8 |
| 22.4 | 20.0 |

Cell lengths 9.279, 9.279, 9.279 Å; angles 105.68, 105.68, 117.36 degrees
Element x y z (fractional)
Eu (0.023, 0.692, 0.169)
Eu (0.147, 0.977, 0.669)
Eu (0.308, 0.478, 0.331)
Eu (0.478, 0.147, 0.169)
Eu (0.522, 0.853, 0.831)
Eu (0.692, 0.522, 0.669)
Eu (0.853, 0.023, 0.331)
Eu (0.977, 0.308, 0.831)
Si (0.317, 0.402, 0.720)
Si (0.402, 0.683, 0.085)
Si (0.598, 0.317, 0.915)
Si (0.683, 0.598, 0.280)
Cl (0.095, 0.748, 0.844)
Cl (0.204, 0.204, 0.000)
Cl (0.250, 0.750, 0.500)
Cl (0.252, 0.095, 0.347)
Cl (0.748, 0.905, 0.653)
Cl (0.750, 0.250, 0.500)
Cl (0.796, 0.796, 0.000)
Cl (0.905, 0.252, 0.156)
O (0.108, 0.223, 0.624)
O (0.223, 0.599, 0.115)
O (0.334, 0.550, 0.885)
O (0.401, 0.516, 0.624)
O (0.450, 0.334, 0.784)
O (0.484, 0.108, 0.885)
O (0.516, 0.892, 0.115)
O (0.550, 0.666, 0.216)
O (0.599, 0.484, 0.376)
O (0.666, 0.450, 0.115)
O (0.777, 0.401, 0.885)
O (0.892, 0.777, 0.376)


No. 8
Diffraction record for Al3GaMo. The powder diffraction line list is theoretical, not measured: it uses a crystal structure in Alexandria, relaxed with GGA-PBE and a wavelength of 1.5418 Å.
Intensities are scaled so that the largest is 100.

Largest 6 diffraction maxima, in order of falling intensity, 2θ = 5–70°:
| Position (°2θ) | I/Imax |
| --- | --- |
| 21.6 | 100.0 |
| 40.1 | 85.4 |
| 23.5 | 82.7 |
| 39.1 | 59.8 |
| 46.0 | 52.3 |
| 42.3 | 38.6 |

Cell lengths 4.275, 8.217, 5.296 Å; angles 90.00, 90.00, 90.00 degrees
Element x y z (fractional)
Al (0.250, 0.075, 0.093)
Al (0.250, 0.250, 0.641)
Al (0.250, 0.425, 0.093)
Al (0.750, 0.575, 0.907)
Al (0.750, 0.750, 0.359)
Al (0.750, 0.925, 0.907)
Ga (0.250, 0.750, 0.620)
Ga (0.750, 0.250, 0.380)
Mo (0.250, 0.750, 0.107)
Mo (0.750, 0.250, 0.893)